Structure and theoretical X-ray diffraction stick pattern of Ca6In5 (a GGA-PBE-relaxed structure; CuKα).
Neutral-atom scattering factors, no anomalous dispersion.

Cell: 5.3838 7.7786 16.1717 Å, 90.00 90.00 90.00°
Space group Immm (No. 71)
One atom of each set of equivalent atoms:
Ca1 0.0000 0.2449 0.0000
Ca2 0.0000 0.2548 0.3389
In1 0.0000 0.0000 0.1728
In2 0.0000 0.0000 0.5000
In3 0.0000 0.5000 0.1714

Most intense lines, 2θ from 10° to 90°, in order of rising 2θ:
- hkl 1 0 3, 23.35°, I = 178
- hkl 1 2 3, 32.91°, I = 1000
- hkl 2 0 0, 33.26°, I = 482
- hkl 2 0 6, 47.75°, I = 164
- hkl 2 4 0, 58.54°, I = 175
- hkl 3 2 3, 59.21°, I = 330